No. 1
Structure and theoretical XRD peak list of Y3Er5 (the GGA-PBE geometry in Alexandria; CuKα).
Lines closer than 0.1° are merged.

Top 10 peaks for 2θ = 10–80°, low angle first:
2theta, d (Å), I/Imax
28.54, 3.127, 24
32.01, 2.796, 23
32.81, 2.729, 100
43.41, 2.084, 15
50.55, 1.806, 19
57.57, 1.601, 20
61.10, 1.517, 22
61.59, 1.506, 16
68.79, 1.365, 4
74.32, 1.276, 3

Atomic structure:
abc: 3.6120 5.5918 12.5063
angles: 90.00 90.00 90.00
Positions (direct):
Y  0.0000  0.0000  0.0000
Y  0.0000  0.5000  0.1696
Y  0.5000  0.0000  0.2548
Er  0.0000  0.0000  0.5042
Er  0.0000  0.5000  0.6700
Er  0.5000  0.0000  0.7505
Er  0.5000  0.5000  0.4224
Er  0.5000  0.5000  0.9167

=====

No. 2
Structure and theoretical XRD peak list of Y7Er (the GGA-PBE geometry in Alexandria; CuKα).
Lines closer than 0.1° are merged.

Top 10 peaks for 2θ = 10–80°, low angle first:
2theta, d (Å), I/Imax
29.80, 2.999, 25
30.66, 2.916, 85
31.82, 2.813, 100
32.06, 2.792, 47
32.62, 2.745, 52
46.39, 1.957, 35
56.28, 1.635, 18
56.99, 1.616, 15
58.41, 1.580, 24
61.89, 1.499, 29

Atomic structure:
abc: 8.7591 8.7591 8.7591
angles: 156.66 100.80 83.95
Positions (direct):
Y  0.0000  0.0000  0.0000
Y  0.1003  0.3677  0.7326
Y  0.2603  0.2603  0.0000
Y  0.3649  0.6323  0.7326
Y  0.6351  0.3677  0.2674
Y  0.7397  0.7397  0.0000
Y  0.8997  0.6323  0.2674
Er  0.5000  0.0000  0.5000

=====

No. 3
Structure and theoretical XRD peak list of Y8Er3 (the GGA-PBE geometry in Alexandria; CuKα).
Lines closer than 0.1° are merged.

Top 10 peaks for 2θ = 10–80°, low angle first:
2theta, d (Å), I/Imax
24.35, 3.656, 43
28.88, 3.091, 97
30.46, 2.934, 100
31.50, 2.840, 44
31.91, 2.804, 27
35.14, 2.554, 53
36.89, 2.436, 28
43.26, 2.091, 39
63.39, 1.467, 29
63.61, 1.463, 28

Atomic structure:
abc: 7.6828 7.6828 7.6828
angles: 107.16 107.16 107.16
Positions (direct):
Y  0.1906  0.6820  0.5341
Y  0.2475  0.2475  0.2475
Y  0.3180  0.4659  0.8094
Y  0.4659  0.8094  0.3180
Y  0.5341  0.1906  0.6820
Y  0.6820  0.5341  0.1906
Y  0.7525  0.7525  0.7525
Y  0.8094  0.3180  0.4659
Er  0.0000  0.0000  0.5000
Er  0.0000  0.5000  0.0000
Er  0.5000  0.0000  0.0000

=====

No. 4
Structure and theoretical XRD peak list of Y2Er13 (the GGA-PBE geometry in Alexandria; CuKα).
Lines closer than 0.1° are merged.

Top 10 peaks for 2θ = 10–80°, low angle first:
2theta, d (Å), I/Imax
10.91, 8.108, 40
11.81, 7.495, 62
22.87, 3.888, 40
30.24, 2.956, 43
31.54, 2.837, 47
33.51, 2.674, 100
34.42, 2.606, 34
35.34, 2.540, 47
35.95, 2.498, 61
57.43, 1.604, 38

Atomic structure:
abc: 9.6607 9.6607 9.6607
angles: 56.18 56.18 56.18
Positions (direct):
Y  0.2414  0.2414  0.2414
Y  0.7586  0.7586  0.7586
Er  0.0000  0.0000  0.0000
Er  0.0133  0.0133  0.6510
Er  0.0133  0.6510  0.0133
Er  0.2375  0.2375  0.6082
Er  0.2375  0.6082  0.2375
Er  0.3490  0.9867  0.9867
Er  0.3918  0.7625  0.7625
Er  0.6082  0.2375  0.2375
Er  0.6510  0.0133  0.0133
Er  0.7625  0.3918  0.7625
Er  0.7625  0.7625  0.3918
Er  0.9867  0.3490  0.9867
Er  0.9867  0.9867  0.3490

=====

No. 5
Structure and theoretical XRD peak list of Y6Er2Zn (the GGA-PBE geometry in Alexandria; CuKα).
Lines closer than 0.1° are merged.

Top 10 peaks for 2θ = 10–80°, low angle first:
2theta, d (Å), I/Imax
17.62, 5.033, 19
31.43, 2.847, 56
31.53, 2.837, 65
32.06, 2.792, 35
32.74, 2.735, 100
33.52, 2.673, 50
37.93, 2.372, 19
47.06, 1.931, 24
58.66, 1.574, 20
59.44, 1.555, 18

Atomic structure:
abc: 10.0423 10.0884 5.3466
angles: 90.00 90.00 90.00
Positions (direct):
Y  0.0396  0.1864  0.0000
Y  0.1225  0.6191  0.5000
Y  0.1862  0.9542  0.5000
Y  0.3138  0.4542  0.0000
Y  0.3775  0.1191  0.0000
Y  0.4604  0.6864  0.5000
Y  0.5396  0.3136  0.5000
Y  0.6225  0.8809  0.0000
Y  0.6862  0.5458  0.0000
Y  0.8138  0.0458  0.5000
Y  0.8775  0.3809  0.5000
Y  0.9604  0.8136  0.0000
Er  0.2137  0.2800  0.5000
Er  0.2863  0.7800  0.0000
Er  0.7137  0.2200  0.0000
Er  0.7863  0.7200  0.5000
Zn  0.0000  0.5000  0.0000
Zn  0.5000  0.0000  0.5000

=====

No. 6
Structure and theoretical XRD peak list of Y3ErZn2 (the GGA-PBE geometry in Alexandria; CuKα).
Lines closer than 0.1° are merged.

Top 10 peaks for 2θ = 10–80°, low angle first:
2theta, d (Å), I/Imax
29.60, 3.018, 52
31.92, 2.804, 30
32.39, 2.764, 25
33.05, 2.710, 33
33.45, 2.679, 100
34.55, 2.596, 69
35.67, 2.517, 55
49.42, 1.844, 21
60.77, 1.524, 19
62.67, 1.483, 16

Atomic structure:
abc: 5.0340 9.0901 6.7518
angles: 90.00 90.00 90.00
Positions (direct):
Y  0.0000  0.0564  0.0000
Y  0.0000  0.3292  0.3475
Y  0.0000  0.6708  0.8475
Y  0.0000  0.9436  0.5000
Y  0.5000  0.1759  0.6820
Y  0.5000  0.8241  0.1820
Er  0.5000  0.4426  0.0312
Er  0.5000  0.5574  0.5312
Zn  0.0000  0.3494  0.7906
Zn  0.0000  0.6506  0.2906
Zn  0.5000  0.1503  0.2405
Zn  0.5000  0.8497  0.7405

=====

No. 7
Structure and theoretical XRD peak list of YEr3Zn2 (the GGA-PBE geometry in Alexandria; CuKα).
Lines closer than 0.1° are merged.

Top 10 peaks for 2θ = 10–80°, low angle first:
2theta, d (Å), I/Imax
24.32, 3.660, 25
29.87, 2.991, 75
31.92, 2.803, 56
32.67, 2.741, 24
33.05, 2.710, 35
33.48, 2.676, 100
34.99, 2.565, 99
36.21, 2.481, 71
40.13, 2.247, 28
61.01, 1.519, 33

Atomic structure:
abc: 4.9621 8.9875 6.7954
angles: 90.00 90.00 90.00
Positions (direct):
Y  0.0000  0.0572  0.0000
Y  0.0000  0.9428  0.5000
Er  0.0000  0.3271  0.6478
Er  0.0000  0.6729  0.1478
Er  0.5000  0.1779  0.3187
Er  0.5000  0.4419  0.9652
Er  0.5000  0.5581  0.4652
Er  0.5000  0.8221  0.8187
Zn  0.0000  0.3519  0.2142
Zn  0.0000  0.6481  0.7142
Zn  0.5000  0.1480  0.7510
Zn  0.5000  0.8520  0.2510

=====

No. 8
Structure and theoretical XRD peak list of Y3Er2Zn2 (the GGA-PBE geometry in Alexandria; CuKα).
Lines closer than 0.1° are merged.

Top 10 peaks for 2θ = 10–80°, low angle first:
2theta, d (Å), I/Imax
29.16, 3.062, 40
29.84, 2.994, 37
30.72, 2.911, 30
31.60, 2.831, 84
31.95, 2.801, 66
32.12, 2.787, 100
33.67, 2.662, 70
34.11, 2.629, 47
34.37, 2.609, 39
49.87, 1.829, 31

Atomic structure:
abc: 6.7177 6.7177 8.9871
angles: 114.72 114.72 31.59
Positions (direct):
Y  0.0000  0.0000  0.0000
Y  0.1101  0.1101  0.4407
Y  0.8899  0.8899  0.5593
Er  0.3506  0.3506  0.1874
Er  0.6494  0.6494  0.8126
Zn  0.3190  0.3190  0.7765
Zn  0.6810  0.6810  0.2235

=====

No. 9
Structure and theoretical XRD peak list of YEr5Zn6 (the GGA-PBE geometry in Alexandria; CuKα).
Lines closer than 0.1° are merged.

Top 10 peaks for 2θ = 10–80°, low angle first:
2theta, d (Å), I/Imax
25.12, 3.545, 16
35.82, 2.507, 100
44.25, 2.047, 5
51.47, 1.776, 6
51.60, 1.771, 12
58.17, 1.586, 6
64.34, 1.448, 24
64.42, 1.446, 12
75.88, 1.254, 9
76.03, 1.252, 2

Atomic structure:
abc: 7.9250 7.9250 7.1021
angles: 90.00 90.00 143.17
Positions (direct):
Y  0.0000  0.0000  0.0000
Er  0.0000  0.0000  0.5000
Er  0.3327  0.6673  0.0000
Er  0.3339  0.6661  0.5000
Er  0.6661  0.3339  0.5000
Er  0.6673  0.3327  0.0000
Zn  0.1677  0.8323  0.2522
Zn  0.1677  0.8323  0.7478
Zn  0.5000  0.5000  0.2521
Zn  0.5000  0.5000  0.7479
Zn  0.8323  0.1677  0.2522
Zn  0.8323  0.1677  0.7478

=====

No. 10
Structure and theoretical XRD peak list of Y2ErZn9 (the GGA-PBE geometry in Alexandria; CuKα).
Lines closer than 0.1° are merged.

Top 10 peaks for 2θ = 10–80°, low angle first:
2theta, d (Å), I/Imax
30.91, 2.893, 25
32.95, 2.718, 37
33.80, 2.652, 32
38.40, 2.344, 37
38.89, 2.315, 17
39.27, 2.294, 100
42.24, 2.140, 35
63.10, 1.473, 24
64.37, 1.447, 19
69.11, 1.359, 23

Atomic structure:
abc: 9.1145 9.1145 9.1145
angles: 34.70 34.70 34.70
Positions (direct):
Y  0.1393  0.1393  0.1393
Y  0.8607  0.8607  0.8607
Er  0.0000  0.0000  0.0000
Zn  0.0764  0.5849  0.5849
Zn  0.3348  0.3348  0.3348
Zn  0.4151  0.4151  0.9236
Zn  0.4151  0.9236  0.4151
Zn  0.5000  0.5000  0.5000
Zn  0.5849  0.0764  0.5849
Zn  0.5849  0.5849  0.0764
Zn  0.6652  0.6652  0.6652
Zn  0.9236  0.4151  0.4151

=====

No. 11
Structure and theoretical XRD peak list of Y4Er9Zn11 (the GGA-PBE geometry in Alexandria; CuKα).
Lines closer than 0.1° are merged.

Top 10 peaks for 2θ = 10–80°, low angle first:
2theta, d (Å), I/Imax
26.07, 3.419, 27
34.32, 2.613, 50
34.63, 2.591, 100
35.10, 2.557, 85
36.15, 2.485, 60
36.74, 2.446, 80
39.61, 2.275, 35
63.44, 1.466, 35
64.83, 1.438, 28
65.41, 1.427, 31

Atomic structure:
abc: 13.0245 13.0245 3.4186
angles: 90.00 90.00 107.48
Positions (direct):
Y  0.0842  0.2560  0.0000
Y  0.2560  0.0842  0.0000
Y  0.7440  0.9158  0.0000
Y  0.9158  0.7440  0.0000
Er  0.0000  0.0000  0.0000
Er  0.1225  0.6495  0.0000
Er  0.2956  0.4806  0.0000
Er  0.3505  0.8775  0.0000
Er  0.4806  0.2956  0.0000
Er  0.5194  0.7044  0.0000
Er  0.6495  0.1225  0.0000
Er  0.7044  0.5194  0.0000
Er  0.8775  0.3505  0.0000
Zn  0.0838  0.4491  0.5000
Zn  0.1307  0.8693  0.5000
Zn  0.2891  0.2891  0.5000
Zn  0.3224  0.6776  0.5000
Zn  0.4491  0.0838  0.5000
Zn  0.5000  0.5000  0.5000
Zn  0.5509  0.9162  0.5000
Zn  0.6776  0.3224  0.5000
Zn  0.7109  0.7109  0.5000
Zn  0.8693  0.1307  0.5000
Zn  0.9162  0.5509  0.5000

=====

No. 12
Structure and theoretical XRD peak list of Y3ErZr (the GGA-PBE geometry in Alexandria; CuKα).
Lines closer than 0.1° are merged.

Top 10 peaks for 2θ = 10–80°, low angle first:
2theta, d (Å), I/Imax
31.39, 2.850, 33
31.55, 2.835, 100
36.51, 2.461, 44
36.61, 2.455, 22
52.53, 1.742, 22
52.72, 1.736, 15
62.55, 1.485, 13
62.65, 1.483, 12
62.76, 1.481, 17
65.88, 1.418, 11

Atomic structure:
abc: 3.4662 9.2205 9.8537
angles: 74.22 89.98 79.24
Positions (direct):
Y  0.0030  0.4966  0.2464
Y  0.2033  0.0932  0.8416
Y  0.3927  0.7130  0.4566
Y  0.6073  0.2870  0.5434
Y  0.7967  0.9068  0.1584
Y  0.9970  0.5034  0.7536
Er  0.3971  0.7086  0.9383
Er  0.6029  0.2914  0.0617
Zr  0.2041  0.0905  0.3623
Zr  0.7959  0.9095  0.6377

=====

No. 13
Structure and theoretical XRD peak list of Y10Er4Zr (the GGA-PBE geometry in Alexandria; CuKα).
Lines closer than 0.1° are merged.

Top 10 peaks for 2θ = 10–80°, low angle first:
2theta, d (Å), I/Imax
15.78, 5.615, 22
28.18, 3.167, 71
30.99, 2.886, 39
31.88, 2.808, 85
32.46, 2.759, 100
34.42, 2.606, 21
41.45, 2.179, 28
43.05, 2.101, 21
58.26, 1.584, 22
68.13, 1.376, 32

Atomic structure:
abc: 8.8187 8.8187 8.8187
angles: 100.90 100.90 128.44
Positions (direct):
Y  0.0058  0.2148  0.7910
Y  0.2148  0.0058  0.7910
Y  0.2148  0.4238  0.2090
Y  0.2500  0.7500  0.5000
Y  0.4238  0.2148  0.2090
Y  0.5762  0.7852  0.7910
Y  0.7500  0.2500  0.5000
Y  0.7852  0.5762  0.7910
Y  0.7852  0.9942  0.2090
Y  0.9942  0.7852  0.2090
Er  0.2701  0.2701  0.5403
Er  0.2701  0.7299  0.0000
Er  0.7299  0.2701  0.0000
Er  0.7299  0.7299  0.4597
Zr  0.5000  0.5000  0.0000